[1]
# Ba8IrRh2
Theoretical powder diffraction line list, Cu Kα X-rays. Input: a cell relaxed with PBE.
Neutral-atom scattering factors, no anomalous dispersion.

Largest 12 diffraction maxima, by angle, 2θ from 5° to 70°:
2θ/deg	Rel. int.
11.80	38
18.46	42
22.77	30
24.22	66
24.75	24
24.88	46
30.30	100
30.77	54
34.82	35
36.43	64
41.16	59
42.29	32

Crystal structure
```
11
Lattice="8.3292 -4.2743 0.0000 8.3292 4.2743 0.0000 -2.6642 0.0000 7.1941" Properties=species:S:1:pos:R:3 pbc="T T T"
Ba 0.6965 0.0000 2.9807
Ba 6.0649 2.2096 0.4941
Ba 4.5145 0.0000 4.1375
Ba 7.9294 2.2096 6.7000
Ba 6.0649 -2.2096 0.4941
Ba 9.4798 0.0000 3.0567
Ba 7.9294 -2.2096 6.7000
Ba 13.2978 0.0000 4.2135
Ir 0.0000 0.0000 0.0000
Rh 2.1304 0.0000 5.6594
Rh 11.8638 0.0000 1.5347
```

[2]
# Ce5TeS4
Theoretical powder diffraction line list, Cu Kα X-rays. Input: a cell relaxed with PBE.
Neutral-atom scattering factors, no anomalous dispersion.

Largest 12 diffraction maxima, by angle, 2θ from 5° to 70°:
2θ/deg	Rel. int.
26.40	29
26.61	31
30.50	54
30.80	100
43.89	90
44.39	19
52.04	8
52.39	10
54.35	17
54.81	20
63.48	6
64.16	10

Crystal structure
```
10
Lattice="-2.0407 2.9310 10.3247 2.0407 -2.9310 10.3247 2.0407 2.9310 -10.3247" Properties=species:S:1:pos:R:3 pbc="T T T"
Ce 0.0000 0.0000 0.0000
Ce 0.0000 0.0000 4.1048
Ce 0.0000 0.0000 8.0034
Ce 0.0000 0.0000 12.6460
Ce 0.0000 0.0000 16.5446
Te 0.0000 2.9310 0.0000
S 2.0407 0.0000 2.0726
S 2.0407 0.0000 6.0795
S 0.0000 2.9310 4.2452
S 0.0000 2.9310 8.2521
```

[3]
# Ta3Ga2N
Theoretical powder diffraction line list, Cu Kα X-rays. Input: a cell relaxed with PBE.
Neutral-atom scattering factors, no anomalous dispersion.

Largest 12 diffraction maxima, by angle, 2θ from 5° to 70°:
2θ/deg	Rel. int.
21.89	7
28.37	15
31.15	6
38.39	100
40.56	59
42.63	22
55.42	11
58.71	11
61.88	6
66.47	6
67.96	23
69.44	6

Crystal structure
```
24
Lattice="7.0334 0.0000 0.0000 0.0000 7.0334 0.0000 0.0000 0.0000 7.0334" Properties=species:S:1:pos:R:3 pbc="T T T"
Ta 0.3176 0.8792 5.5927
Ta 0.8792 5.5927 0.3176
Ta 1.4407 3.8344 2.6375
Ta 2.0760 3.1991 6.1542
Ta 2.6375 1.4407 3.8344
Ta 3.1991 6.1542 2.0760
Ta 3.8344 2.6375 1.4407
Ta 4.3959 4.9574 6.7158
Ta 4.9574 6.7158 4.3959
Ta 5.5927 0.3176 0.8792
Ta 6.1542 2.0760 3.1991
Ta 6.7158 4.3959 4.9574
Ga 0.4844 6.5490 3.0323
Ga 1.2739 1.2739 1.2739
Ga 2.2428 5.7595 4.7906
Ga 3.0323 0.4844 6.5490
Ga 4.0011 4.0011 4.0011
Ga 4.7906 2.2428 5.7595
Ga 5.7595 4.7906 2.2428
Ga 6.5490 3.0323 0.4844
N 0.8792 2.6375 4.3959
N 2.6375 4.3959 0.8792
N 4.3959 0.8792 2.6375
N 6.1542 6.1542 6.1542
```

[4]
# La5Dy3Ho
Theoretical powder diffraction line list, Cu Kα X-rays. Input: a cell relaxed with PBE.
Neutral-atom scattering factors, no anomalous dispersion.

Largest 12 diffraction maxima, by angle, 2θ from 5° to 70°:
2θ/deg	Rel. int.
30.66	100
30.81	49
30.94	47
31.17	93
44.00	17
44.18	18
44.63	15
51.27	12
54.79	18
55.44	14
61.17	13
61.30	13

Crystal structure
```
18
Lattice="7.6905 -4.9415 0.0000 7.6905 4.9415 0.0000 -4.4033 0.0000 8.1168" Properties=species:S:1:pos:R:3 pbc="T T T"
La 4.3880 4.4244 6.0876
La 2.1608 0.6988 0.8348
La 1.0682 1.0026 7.5743
La -0.0408 -0.6988 4.8932
La 3.2699 -1.0026 3.5159
La 7.7078 1.0026 4.6009
La 11.0186 0.6988 3.2236
La 9.9095 -1.0026 0.5425
La 8.8169 -0.6988 7.2820
La 6.5897 -4.4244 2.0292
Dy 1.6436 2.4707 4.0584
Dy 4.9108 2.2946 2.7892
Dy 8.2686 2.2946 1.2692
Dy 3.8453 -2.4707 0.0000
Dy 2.7092 -2.2946 6.8476
Dy 6.0669 -2.2946 5.3276
Ho 4.3880 0.9501 6.0876
Ho 6.5897 -0.9501 2.0292
```

[5]
# U2BrF6
Theoretical powder diffraction line list, Cu Kα X-rays. Input: a cell relaxed with PBE.
Neutral-atom scattering factors, no anomalous dispersion.

Largest 12 diffraction maxima, by angle, 2θ from 5° to 70°:
2θ/deg	Rel. int.
18.25	40
24.04	44
24.48	100
30.10	42
30.35	17
30.71	24
35.05	18
42.56	29
42.96	38
43.36	18
46.66	22
53.69	17

Crystal structure
```
9
Lattice="-2.0869 3.7015 4.8615 2.0869 -3.7015 4.8615 2.0869 3.7015 -4.8615" Properties=species:S:1:pos:R:3 pbc="T T T"
U 0.0000 0.0000 1.9815
U 0.0000 0.0000 7.7414
Br 0.0000 0.0000 4.8615
F 2.0869 -1.2351 2.1066
F 0.0000 1.2028 0.0000
F 2.0869 1.2351 2.1066
F 0.0000 2.4664 2.7549
F 0.0000 6.2003 0.0000
F 0.0000 4.9367 2.7549
```

[6]
# Na6Eu
Theoretical powder diffraction line list, Cu Kα X-rays. Input: a cell relaxed with PBE.
Neutral-atom scattering factors, no anomalous dispersion.

Largest 12 diffraction maxima, by angle, 2θ from 5° to 70°:
2θ/deg	Rel. int.
14.58	45
20.67	41
25.38	100
29.39	9
32.96	13
39.22	63
42.05	14
47.30	18
49.76	16
54.43	10
58.85	19
67.14	19

Crystal structure
```
7
Lattice="-4.2974 4.2974 4.2974 4.2974 -4.2974 4.2974 4.2974 4.2974 -4.2974" Properties=species:S:1:pos:R:3 pbc="T T T"
Na 4.2974 2.1487 0.0000
Na 4.2974 0.0000 2.1487
Na 2.1487 4.2974 0.0000
Na 2.1487 0.0000 4.2974
Na 0.0000 4.2974 2.1487
Na 0.0000 2.1487 4.2974
Eu 0.0000 0.0000 0.0000
```

[7]
# Dy3ErAs4
Theoretical powder diffraction line list, Cu Kα X-rays. Input: a cell relaxed with PBE.
Neutral-atom scattering factors, no anomalous dispersion.

Largest 6 diffraction maxima, by angle, 2θ from 5° to 70°:
2θ/deg	Rel. int.
26.58	23
30.79	100
44.10	75
52.23	12
54.75	26
64.13	12

Crystal structure
```
8
Lattice="5.8083 0.0000 0.0000 0.0000 5.8083 0.0000 0.0000 0.0000 5.8083" Properties=species:S:1:pos:R:3 pbc="T T T"
Dy 0.0000 0.0000 2.9042
Dy 0.0000 2.9042 0.0000
Dy 2.9042 0.0000 0.0000
Er 2.9042 2.9042 2.9042
As 0.0000 0.0000 0.0000
As 0.0000 2.9042 2.9042
As 2.9042 0.0000 2.9042
As 2.9042 2.9042 0.0000
```

[8]
# PaH6PtRh
Theoretical powder diffraction line list, Cu Kα X-rays. Input: a cell relaxed with PBE.
Neutral-atom scattering factors, no anomalous dispersion.

Largest 12 diffraction maxima, by angle, 2θ from 5° to 70°:
2θ/deg	Rel. int.
21.37	1
21.76	8
30.68	100
38.16	52
43.52	12
44.35	2
49.17	2
49.73	27
59.24	30
59.91	1
64.36	25
68.96	9

Crystal structure
```
9
Lattice="4.7170 0.0000 0.0000 -2.3585 4.0850 0.0000 0.0000 0.0000 4.1589" Properties=species:S:1:pos:R:3 pbc="T T T"
Pa 0.0000 0.0000 0.0000
H -1.1534 2.0574 0.9027
H -1.1534 2.0574 3.2562
H 1.1534 2.0574 0.9027
H 1.1534 2.0574 3.2562
H 0.0000 4.0552 0.9027
H 0.0000 4.0552 3.2562
Pt 2.3585 1.3617 2.0794
Rh 0.0000 2.7234 2.0794
```